No. 1
For V6MoPt, a DFT-relaxed cell (PBE, Alexandria) gives the computed XRD peak list in this record (Cu Kα X-rays).

Principal peaks in the range 2θ from 10° to 90°, by angle:
Position (°2θ), d [Å], I/Imax
17.5, 5.059, 23
24.6, 3.620, 35
27.0, 3.303, 21
32.4, 2.761, 19
40.6, 2.223, 52
40.8, 2.211, 52
41.3, 2.188, 100
41.4, 2.180, 48
50.4, 1.810, 27
51.0, 1.790, 26

Structural model:
```
data_V6MoPt
_chemical_formula_sum 'V6 Mo1 Pt1'
_space_group_name_H-M_alt 'P 1'
_space_group_IT_number 1
_cell_length_a 5.675
_cell_length_b 5.675
_cell_length_c 4.562
_cell_angle_alpha 97.66
_cell_angle_beta 97.66
_cell_angle_gamma 126.11
loop_
_space_group_symop_operation_xyz
'x,y,z'
loop_
_atom_site_label
_atom_site_type_symbol
_atom_site_fract_x
_atom_site_fract_y
_atom_site_fract_z
V1 V 0.000 0.000 0.000
V2 V 0.009 0.492 0.989
V3 V 0.116 0.359 0.498
V4 V 0.508 0.991 0.011
V5 V 0.634 0.366 0.500
V6 V 0.641 0.884 0.502
Mo1 Mo 0.134 0.866 0.500
Pt1 Pt 0.509 0.491 0.000
```

=====

No. 2
For MoPtW, a DFT-relaxed cell (PBE, Alexandria) gives the computed XRD peak list in this record (Cu Kα X-rays).

Principal peaks in the range 2θ from 10° to 90°, by angle:
Position (°2θ), d [Å], I/Imax
13.8, 6.409, 13
33.7, 2.659, 5
39.3, 2.293, 100
42.3, 2.136, 20
47.3, 1.922, 30
65.3, 1.429, 22
69.1, 1.359, 10
75.3, 1.262, 15
82.5, 1.169, 24
84.5, 1.147, 11

Structural model:
```
data_MoPtW
_chemical_formula_sum 'Mo1 Pt1 W1'
_space_group_name_H-M_alt 'P 1'
_space_group_IT_number 1
_cell_length_a 6.691
_cell_length_b 6.691
_cell_length_c 6.691
_cell_angle_alpha 156.57
_cell_angle_beta 156.57
_cell_angle_gamma 33.38
loop_
_space_group_symop_operation_xyz
'x,y,z'
loop_
_atom_site_label
_atom_site_type_symbol
_atom_site_fract_x
_atom_site_fract_y
_atom_site_fract_z
Mo1 Mo 0.000 0.000 0.000
Pt1 Pt 0.663 0.663 0.000
W1 W 0.325 0.325 0.000
```

=====

No. 3
For ZrMo2Pt, a DFT-relaxed cell (PBE, Alexandria) gives the computed XRD peak list in this record (Cu Kα X-rays).

Principal peaks in the range 2θ from 10° to 90°, by angle:
Position (°2θ), d [Å], I/Imax
14.6, 6.082, 20
37.0, 2.430, 100
39.1, 2.306, 88
43.9, 2.063, 62
44.9, 2.020, 30
60.9, 1.521, 13
64.6, 1.443, 38
74.8, 1.269, 23
78.7, 1.216, 23
78.8, 1.215, 21

Structural model:
```
data_ZrMo2Pt
_chemical_formula_sum 'Zr1 Mo2 Pt1'
_space_group_name_H-M_alt 'P 1'
_space_group_IT_number 1
_cell_length_a 2.809
_cell_length_b 4.040
_cell_length_c 6.082
_cell_angle_alpha 90.00
_cell_angle_beta 90.00
_cell_angle_gamma 90.00
loop_
_space_group_symop_operation_xyz
'x,y,z'
loop_
_atom_site_label
_atom_site_type_symbol
_atom_site_fract_x
_atom_site_fract_y
_atom_site_fract_z
Zr1 Zr 0.000 0.000 0.000
Mo1 Mo 0.000 0.000 0.505
Mo2 Mo 0.500 0.500 0.284
Pt1 Pt 0.500 0.500 0.753
```

=====

No. 4
For Pu2MoRh6, a DFT-relaxed cell (PBE, Alexandria) gives the computed XRD peak list in this record (Cu Kα X-rays).

Principal peaks in the range 2θ from 10° to 90°, by angle:
Position (°2θ), d [Å], I/Imax
23.8, 3.735, 15
30.5, 2.930, 18
32.0, 2.798, 16
35.6, 2.525, 29
35.8, 2.508, 48
37.1, 2.423, 17
40.3, 2.239, 100
48.8, 1.868, 16
59.5, 1.553, 17
66.9, 1.399, 21

Structural model:
```
data_Pu2MoRh6
_chemical_formula_sum 'Pu2 Mo1 Rh6'
_space_group_name_H-M_alt 'P 1'
_space_group_IT_number 1
_cell_length_a 5.597
_cell_length_b 5.597
_cell_length_c 5.861
_cell_angle_alpha 90.00
_cell_angle_beta 90.00
_cell_angle_gamma 120.00
loop_
_space_group_symop_operation_xyz
'x,y,z'
loop_
_atom_site_label
_atom_site_type_symbol
_atom_site_fract_x
_atom_site_fract_y
_atom_site_fract_z
Pu1 Pu 0.333 0.667 0.325
Pu2 Pu 0.667 0.333 0.675
Mo1 Mo 0.000 0.000 0.500
Rh1 Rh 0.174 0.349 0.815
Rh2 Rh 0.174 0.826 0.815
Rh3 Rh 0.349 0.174 0.185
Rh4 Rh 0.651 0.826 0.815
Rh5 Rh 0.826 0.174 0.185
Rh6 Rh 0.826 0.651 0.185
```

=====

No. 5
For TmPuMo, a DFT-relaxed cell (PBE, Alexandria) gives the computed XRD peak list in this record (Cu Kα X-rays).

Principal peaks in the range 2θ from 10° to 90°, by angle:
Position (°2θ), d [Å], I/Imax
19.8, 4.475, 17
32.2, 2.779, 24
33.8, 2.654, 15
34.1, 2.628, 100
35.9, 2.502, 33
40.4, 2.234, 12
43.0, 2.106, 26
47.6, 1.909, 17
48.8, 1.867, 11
62.0, 1.497, 12

Structural model:
```
data_TmPuMo
_chemical_formula_sum 'Tm2 Pu2 Mo2'
_space_group_name_H-M_alt 'P 1'
_space_group_IT_number 1
_cell_length_a 5.313
_cell_length_b 5.313
_cell_length_c 5.743
_cell_angle_alpha 109.36
_cell_angle_beta 109.36
_cell_angle_gamma 59.28
loop_
_space_group_symop_operation_xyz
'x,y,z'
loop_
_atom_site_label
_atom_site_type_symbol
_atom_site_fract_x
_atom_site_fract_y
_atom_site_fract_z
Tm1 Tm 0.129 0.129 0.330
Tm2 Tm 0.871 0.871 0.670
Pu1 Pu 0.466 0.466 0.278
Pu2 Pu 0.534 0.534 0.722
Mo1 Mo 0.247 0.247 0.900
Mo2 Mo 0.753 0.753 0.100
```

=====

No. 6
For Rb2Mo9S11, a DFT-relaxed cell (PBE, Alexandria) gives the computed XRD peak list in this record (Cu Kα X-rays).

Principal peaks in the range 2θ from 10° to 90°, by angle:
Position (°2θ), d [Å], I/Imax
11.8, 7.478, 100
14.6, 6.082, 16
18.7, 4.741, 16
22.4, 3.964, 15
29.2, 3.059, 21
33.7, 2.661, 18
39.9, 2.259, 13
41.4, 2.182, 16
43.4, 2.084, 14
44.4, 2.042, 41

Structural model:
```
data_Rb2Mo9S11
_chemical_formula_sum 'Rb4 Mo18 S22'
_space_group_name_H-M_alt 'P 1'
_space_group_IT_number 1
_cell_length_a 13.252
_cell_length_b 13.252
_cell_length_c 13.252
_cell_angle_alpha 41.92
_cell_angle_beta 41.92
_cell_angle_gamma 41.92
loop_
_space_group_symop_operation_xyz
'x,y,z'
loop_
_atom_site_label
_atom_site_type_symbol
_atom_site_fract_x
_atom_site_fract_y
_atom_site_fract_z
Rb1 Rb 0.051 0.051 0.051
Rb2 Rb 0.449 0.449 0.449
Rb3 Rb 0.551 0.551 0.551
Rb4 Rb 0.949 0.949 0.949
Mo1 Mo 0.029 0.354 0.178
Mo2 Mo 0.084 0.250 0.416
Mo3 Mo 0.146 0.471 0.322
Mo4 Mo 0.178 0.029 0.354
Mo5 Mo 0.250 0.416 0.084
Mo6 Mo 0.322 0.146 0.471
Mo7 Mo 0.354 0.178 0.029
Mo8 Mo 0.416 0.084 0.250
Mo9 Mo 0.471 0.322 0.146
Mo10 Mo 0.529 0.678 0.854
Mo11 Mo 0.584 0.916 0.750
Mo12 Mo 0.646 0.822 0.971
Mo13 Mo 0.678 0.854 0.529
Mo14 Mo 0.750 0.584 0.916
Mo15 Mo 0.822 0.971 0.646
Mo16 Mo 0.854 0.529 0.678
Mo17 Mo 0.916 0.750 0.584
Mo18 Mo 0.971 0.646 0.822
S1 S 0.017 0.289 0.617
S2 S 0.051 0.449 0.750
S3 S 0.117 0.789 0.517
S4 S 0.136 0.136 0.136
S5 S 0.211 0.483 0.883
S6 S 0.250 0.949 0.551
S7 S 0.289 0.617 0.017
S8 S 0.364 0.364 0.364
S9 S 0.383 0.983 0.711
S10 S 0.449 0.750 0.051
S11 S 0.483 0.883 0.211
S12 S 0.517 0.117 0.789
S13 S 0.551 0.250 0.949
S14 S 0.617 0.017 0.289
S15 S 0.636 0.636 0.636
S16 S 0.711 0.383 0.983
S17 S 0.750 0.051 0.449
S18 S 0.789 0.517 0.117
S19 S 0.864 0.864 0.864
S20 S 0.883 0.211 0.483
S21 S 0.949 0.551 0.250
S22 S 0.983 0.711 0.383
```

=====

No. 7
For Re3Mo, a DFT-relaxed cell (PBE, Alexandria) gives the computed XRD peak list in this record (Cu Kα X-rays).

Principal peaks in the range 2θ from 10° to 90°, by angle:
Position (°2θ), d [Å], I/Imax
36.9, 2.439, 11
37.4, 2.405, 26
39.9, 2.258, 41
42.1, 2.146, 55
42.6, 2.123, 100
55.9, 1.646, 16
66.7, 1.401, 18
74.3, 1.276, 20
80.7, 1.191, 22
83.1, 1.162, 16

Structural model:
```
data_Re3Mo
_chemical_formula_sum 'Re6 Mo2'
_space_group_name_H-M_alt 'P 1'
_space_group_IT_number 1
_cell_length_a 4.516
_cell_length_b 5.529
_cell_length_c 4.878
_cell_angle_alpha 90.00
_cell_angle_beta 90.00
_cell_angle_gamma 90.00
loop_
_space_group_symop_operation_xyz
'x,y,z'
loop_
_atom_site_label
_atom_site_type_symbol
_atom_site_fract_x
_atom_site_fract_y
_atom_site_fract_z
Re1 Re 0.250 0.004 0.162
Re2 Re 0.250 0.250 0.674
Re3 Re 0.250 0.496 0.162
Re4 Re 0.750 0.504 0.838
Re5 Re 0.750 0.750 0.326
Re6 Re 0.750 0.996 0.838
Mo1 Mo 0.250 0.750 0.653
Mo2 Mo 0.750 0.250 0.347
```

=====

No. 8
For Re3Mo, a DFT-relaxed cell (PBE, Alexandria) gives the computed XRD peak list in this record (Cu Kα X-rays).

Principal peaks in the range 2θ from 10° to 90°, by angle:
Position (°2θ), d [Å], I/Imax
37.4, 2.406, 25
39.6, 2.279, 27
42.5, 2.128, 100
55.5, 1.655, 16
67.4, 1.389, 17
73.8, 1.285, 19
79.7, 1.203, 3
81.1, 1.186, 20
83.0, 1.163, 15
85.2, 1.139, 3

Structural model:
```
data_Re3Mo
_chemical_formula_sum 'Re3 Mo1'
_space_group_name_H-M_alt 'P 1'
_space_group_IT_number 1
_cell_length_a 2.779
_cell_length_b 2.779
_cell_length_c 9.114
_cell_angle_alpha 90.00
_cell_angle_beta 90.00
_cell_angle_gamma 120.00
loop_
_space_group_symop_operation_xyz
'x,y,z'
loop_
_atom_site_label
_atom_site_type_symbol
_atom_site_fract_x
_atom_site_fract_y
_atom_site_fract_z
Re1 Re 0.000 0.000 0.000
Re2 Re 0.333 0.667 0.245
Re3 Re 0.333 0.667 0.755
Mo1 Mo 0.000 0.000 0.500
```